1.
RbPbF3: computed XRD peak list (λ = 1.5418 Å (Cu Kα)), based on a structure optimized by DFT (GGA-PBE).
Kinematic intensities with the Lorentz-polarization factor, no thermal factor.

```
data_RbPbF3
_cell_length_a 3.932
_cell_length_b 8.277
_cell_length_c 8.677
_cell_angle_alpha 90.00
_cell_angle_beta 90.00
_cell_angle_gamma 90.00
_symmetry_space_group_name_H-M 'A m m 2'
_symmetry_Int_Tables_number 38
loop_
_symmetry_equiv_pos_as_xyz
'x,y,z'
'-x,-y,z'
'-x,y,z'
'x,-y,z'
'x,y+1/2,z+1/2'
'-x,-y+1/2,z+1/2'
'-x,y+1/2,z+1/2'
'x,-y+1/2,z+1/2'
loop_
_atom_site_label
_atom_site_fract_x
_atom_site_fract_y
_atom_site_fract_z
Rb1 0.000 0.000 0.000
Pb1 0.500 0.000 0.547
F1 0.000 0.180 0.569
F2 0.500 0.000 0.799
```

Largest 12 diffraction maxima, low angle first, 15 to 90 degrees two-theta:
20.47°, d = 4.339 Å, I = 60
21.47°, d = 4.138 Å, I = 49
27.13°, d = 3.287 Å, I = 100
29.84°, d = 2.995 Å, I = 30
31.38°, d = 2.850 Å, I = 13
32.80°, d = 2.730 Å, I = 13
37.76°, d = 2.382 Å, I = 13
40.21°, d = 2.243 Å, I = 33
41.31°, d = 2.186 Å, I = 47
48.76°, d = 1.868 Å, I = 15
51.33°, d = 1.780 Å, I = 22
53.05°, d = 1.726 Å, I = 12

=====

2.
RbPb2F4: computed XRD peak list (λ = 1.5418 Å (Cu Kα)), based on a structure optimized by DFT (GGA-PBE).
Kinematic intensities with the Lorentz-polarization factor, no thermal factor.

```
data_RbPb2F4
_cell_length_a 3.374
_cell_length_b 14.031
_cell_length_c 12.500
_cell_angle_alpha 90.00
_cell_angle_beta 90.00
_cell_angle_gamma 90.00
_symmetry_space_group_name_H-M 'C m c m'
_symmetry_Int_Tables_number 63
_symmetry_space_group_name_Hall '-C 2c 2'
loop_
_atom_site_label
_atom_site_fract_x
_atom_site_fract_y
_atom_site_fract_z
Rb1 0.000 0.102 0.250
Pb1 0.000 0.364 0.073
F1 0.000 0.000 0.000
F2 0.000 0.296 0.607
F3 0.000 0.443 0.250
```

Largest 12 diffraction maxima, low angle first, 15 to 90 degrees two-theta:
24.85°, d = 3.583 Å, I = 100
25.39°, d = 3.508 Å, I = 43
28.12°, d = 3.173 Å, I = 22
30.78°, d = 2.905 Å, I = 23
32.73°, d = 2.737 Å, I = 32
33.52°, d = 2.673 Å, I = 22
34.80°, d = 2.578 Å, I = 19
35.82°, d = 2.507 Å, I = 30
44.43°, d = 2.039 Å, I = 34
45.62°, d = 1.989 Å, I = 18
47.45°, d = 1.916 Å, I = 27
60.67°, d = 1.526 Å, I = 19

=====

3.
Rb2Pb2F5: computed XRD peak list (λ = 1.5418 Å (Cu Kα)), based on a structure optimized by DFT (GGA-PBE).
Kinematic intensities with the Lorentz-polarization factor, no thermal factor.

```
data_Rb2Pb2F5
_cell_length_a 19.255
_cell_length_b 6.692
_cell_length_c 6.534
_cell_angle_alpha 90.00
_cell_angle_beta 90.00
_cell_angle_gamma 90.00
_symmetry_space_group_name_H-M 'I m a 2'
_symmetry_Int_Tables_number 46
loop_
_symmetry_equiv_pos_as_xyz
'x,y,z'
'-x,-y,z'
'-x+1/2,y,z'
'x+1/2,-y,z'
'x+1/2,y+1/2,z+1/2'
'-x+1/2,-y+1/2,z+1/2'
'-x,y+1/2,z+1/2'
'x,-y+1/2,z+1/2'
loop_
_atom_site_label
_atom_site_fract_x
_atom_site_fract_y
_atom_site_fract_z
Rb1 0.137 0.060 0.000
Pb1 0.000 0.000 0.524
Pb2 0.250 0.620 0.045
F1 0.040 0.234 0.263
F2 0.122 0.614 0.065
F3 0.250 0.200 0.680
```

Largest 12 diffraction maxima, low angle first, 15 to 90 degrees two-theta:
18.43°, d = 4.814 Å, I = 14
18.98°, d = 4.675 Å, I = 23
19.16°, d = 4.632 Å, I = 11
26.58°, d = 3.353 Å, I = 100
27.30°, d = 3.267 Å, I = 29
30.37°, d = 2.943 Å, I = 28
37.36°, d = 2.407 Å, I = 15
38.53°, d = 2.336 Å, I = 19
42.23°, d = 2.140 Å, I = 8
43.91°, d = 2.062 Å, I = 13
46.89°, d = 1.938 Å, I = 15
47.81°, d = 1.902 Å, I = 17

=====

4.
RbPbF3: computed XRD peak list (λ = 1.5418 Å (Cu Kα)), based on a structure optimized by DFT (GGA-PBE).
Kinematic intensities with the Lorentz-polarization factor, no thermal factor.

```
data_RbPbF3
_cell_length_a 4.760
_cell_length_b 4.762
_cell_length_c 19.677
_cell_angle_alpha 89.85
_cell_angle_beta 88.11
_cell_angle_gamma 89.99
_symmetry_space_group_name_H-M 'P -1'
_symmetry_Int_Tables_number 2
loop_
_symmetry_equiv_pos_as_xyz
'x,y,z'
'-x,-y,-z'
loop_
_atom_site_label
_atom_site_fract_x
_atom_site_fract_y
_atom_site_fract_z
Rb1 0.236 0.256 0.324
Rb2 0.240 0.242 0.824
Pb1 0.268 0.258 0.070
Pb2 0.273 0.246 0.570
F1 0.230 0.756 0.409
F2 0.235 0.741 0.909
F3 0.250 0.256 0.183
F4 0.255 0.245 0.683
F5 0.272 0.757 0.091
F6 0.277 0.746 0.591
```

Largest 12 diffraction maxima, low angle first, 15 to 90 degrees two-theta:
20.72°, d = 4.286 Å, I = 17
25.62°, d = 3.477 Å, I = 34
26.05°, d = 3.421 Å, I = 67
26.49°, d = 3.365 Å, I = 100
36.55°, d = 2.458 Å, I = 17
37.78°, d = 2.381 Å, I = 22
37.83°, d = 2.378 Å, I = 23
45.16°, d = 2.008 Å, I = 17
46.20°, d = 1.965 Å, I = 22
46.74°, d = 1.943 Å, I = 15
47.03°, d = 1.932 Å, I = 14
54.54°, d = 1.683 Å, I = 21